Diffraction record for Li3Fe9O5F11. The powder diffractogram is theoretical, not measured: it uses a PBE+U-relaxed structure and Cu Kα (λ = 1.5418 Å).
Neutral-atom scattering factors, no anomalous dispersion.

Cell and atoms:
```
data_Li3Fe9O5F11
_cell_length_a 6.2027
_cell_length_b 6.2725
_cell_length_c 10.6880
_cell_angle_alpha 73.79
_cell_angle_beta 73.33
_cell_angle_gamma 60.70
_symmetry_space_group_name_H-M 'P 1'
_symmetry_Int_Tables_number 1
_symmetry_space_group_name_Hall 'P 1'
loop_
_atom_site_label
_atom_site_fract_x
_atom_site_fract_y
_atom_site_fract_z
Li1 0.0000 0.0000 0.0000
Li2 0.0297 0.4952 0.5116
Li3 0.5212 0.9958 0.5121
Fe1 0.0144 0.4924 0.0015
Fe2 0.0687 0.0536 0.3336
Fe3 0.2774 0.2440 0.7442
Fe4 0.5086 0.4782 0.5142
Fe5 0.5135 0.4077 0.1728
Fe6 0.5227 0.9882 0.0078
Fe7 0.5460 0.5290 0.8124
Fe8 0.7716 0.7599 0.2434
Fe9 0.9418 0.9091 0.6717
O1 0.1616 0.5910 0.6229
O2 0.3618 0.3288 0.8938
O3 0.6300 0.1367 0.6136
O4 0.6692 0.0823 0.1274
O5 0.6708 0.6347 0.1133
F1 0.1324 0.1163 0.1326
F2 0.1460 0.6215 0.1254
F3 0.1554 0.1249 0.6234
F4 0.3781 0.8686 0.8796
F5 0.3832 0.3599 0.3811
F6 0.4117 0.8451 0.3897
F7 0.6537 0.6294 0.6179
F8 0.8840 0.4027 0.3736
F9 0.8921 0.3479 0.8796
F10 0.8919 0.8407 0.3879
F11 0.9098 0.8642 0.8822
```

Principal peaks in the range 5 to 70 degrees two-theta, by angle:
2theta, d (Å), Rel. int., (hkl)
16.74, 5.295, 68, 1 1 1
28.32, 3.152, 52, 1 -1 0
28.47, 3.135, 52, 1 2 1
28.76, 3.104, 81, 2 1 1
33.42, 2.682, 82, 1 -1 2
33.66, 2.663, 100, 0 1 -3
33.86, 2.647, 94, 1 2 3
33.97, 2.639, 94, 1 0 -3
34.08, 2.630, 49, 1 1 4
59.48, 1.554, 76, 2 0 6